# 1
The following is a calculated powder diffraction line list of CsK4U3O12. It was derived from a crystal structure in Alexandria, relaxed with GGA-PBE, using Cu Ka.
Kinematic intensities with the Lorentz-polarization factor, no thermal factor.

Largest 10 diffraction maxima, sorted by position, 5 to 70 degrees two-theta:
- 2θ = 13.86°, I = 8, (1 1 0)
- 2θ = 19.65°, I = 71, (2 0 0)
- 2θ = 27.93°, I = 100, (2 2 0)
- 2θ = 34.38°, I = 10, (2 2 2)
- 2θ = 39.91°, I = 30, (4 0 0)
- 2θ = 44.86°, I = 33, (4 2 0)
- 2θ = 49.42°, I = 41, (4 2 2)
- 2θ = 57.72°, I = 19, (4 4 0)
- 2θ = 61.58°, I = 17, (6 0 0)
- 2θ = 65.32°, I = 20, (6 2 0)

Structure:
Cell lengths 9.0355, 9.0355, 9.0355 Å; angles 90.00, 90.00, 90.00 degrees
Space group Im-3m (No. 229)
Symmetry-distinct sites (fractional):
Cs (0.0000, 0.0000, 0.0000) (multiplicity 2)
K (0.2500, 0.2500, 0.2500) (multiplicity 8)
U (0.0000, 0.0000, 0.5000) (multiplicity 6)
O (0.0000, 0.0000, 0.2926) (multiplicity 12)
O (0.0000, 0.2500, 0.5000) (multiplicity 12)



# 2
The following is a calculated powder diffraction line list of CsKPS2. It was derived from a crystal structure in Alexandria, relaxed with GGA-PBE, using Cu Ka.
Kinematic intensities with the Lorentz-polarization factor, no thermal factor.

Largest 10 diffraction maxima, sorted by position, 5 to 70 degrees two-theta:
- 2θ = 19.44°, I = 42, (0 1 1)
- 2θ = 20.47°, I = 42, (1 0 -2)
- 2θ = 23.34°, I = 23, (2 0 0)
- 2θ = 23.92°, I = 100, (1 1 1)
- 2θ = 26.83°, I = 34, (2 0 -2)
- 2θ = 28.60°, I = 32, (2 1 -1)
- 2θ = 34.03°, I = 33, (1 1 -3)
- 2θ = 34.52°, I = 22, (0 1 3)
- 2θ = 35.80°, I = 28, (1 2 0)
- 2θ = 38.36°, I = 25, (3 1 -1)

Structure:
Cell lengths 7.8548, 5.3127, 9.2093 Å; angles 90.00, 103.96, 90.00 degrees
Space group P2/c (No. 13)
Symmetry-distinct sites (fractional):
Cs (0.0000, 0.2309, 0.2500) (multiplicity 2)
K (0.5000, 0.4654, 0.7500) (multiplicity 2)
P (0.5000, 0.0000, 0.0000) (multiplicity 2)
S (0.2657, 0.2364, 0.9679) (multiplicity 4)



# 3
The following is a calculated powder diffraction line list of CsKPS4. It was derived from a crystal structure in Alexandria, relaxed with GGA-PBE, using Cu Ka.
Kinematic intensities with the Lorentz-polarization factor, no thermal factor.

Largest 10 diffraction maxima, sorted by position, 5 to 70 degrees two-theta:
- 2θ = 7.61°, I = 100, (0 0 1)
- 2θ = 20.82°, I = 46, (1 1 -1)
- 2θ = 20.93°, I = 40, (1 0 2)
- 2θ = 21.97°, I = 82, (1 1 1)
- 2θ = 24.22°, I = 62, (1 1 -2)
- 2θ = 26.20°, I = 77, (1 1 2)
- 2θ = 27.64°, I = 77, (2 0 -2)
- 2θ = 31.79°, I = 40, (1 0 -4)
- 2θ = 35.15°, I = 48, (0 2 2)
- 2θ = 40.59°, I = 57, (2 2 0)

Structure:
Cell lengths 7.1838, 5.6873, 11.7180 Å; angles 90.00, 97.36, 90.00 degrees
Space group P2_1/m (No. 11)
Symmetry-distinct sites (fractional):
Cs (0.2347, 0.2500, 0.4711) (multiplicity 2)
K (0.2414, 0.2500, 0.9228) (multiplicity 2)
P (0.3039, 0.7500, 0.2190) (multiplicity 2)
S (0.0826, 0.7500, 0.3103) (multiplicity 2)
S (0.2258, 0.7500, 0.0484) (multiplicity 2)
S (0.4947, 0.5068, 0.7289) (multiplicity 4)



# 4
The following is a calculated powder diffraction line list of Cs4K2SiP2. It was derived from a crystal structure in Alexandria, relaxed with GGA-PBE, using Cu Ka.
Kinematic intensities with the Lorentz-polarization factor, no thermal factor.

Largest 10 diffraction maxima, sorted by position, 5 to 70 degrees two-theta:
- 2θ = 7.75°, I = 24, (2 0 0)
- 2θ = 15.53°, I = 43, (4 0 0)
- 2θ = 16.88°, I = 25, (0 0 1)
- 2θ = 17.38°, I = 29, (0 2 0)
- 2θ = 19.17°, I = 23, (2 0 1)
- 2θ = 22.06°, I = 47, (4 0 -1)
- 2θ = 23.39°, I = 100, (6 0 0)
- 2θ = 24.32°, I = 99, (0 2 1)
- 2θ = 28.22°, I = 33, (4 2 -1)
- 2θ = 34.97°, I = 33, (6 2 1)

Structure:
Cell lengths 22.8922, 10.2030, 5.2698 Å; angles 90.00, 94.64, 90.00 degrees
Space group C2/m (No. 12)
Symmetry-distinct sites (fractional):
Cs (0.1016, 0.2459, 0.4363) (multiplicity 8)
K (0.2411, 0.0000, 0.0045) (multiplicity 4)
Si (0.0000, 0.0000, 0.0000) (multiplicity 2)
P (0.0875, 0.0000, 0.9276) (multiplicity 4)



# 5
The following is a calculated powder diffraction line list of Cs2KSiP2. It was derived from a crystal structure in Alexandria, relaxed with GGA-PBE, using Cu Ka.
Kinematic intensities with the Lorentz-polarization factor, no thermal factor.

Largest 10 diffraction maxima, sorted by position, 5 to 70 degrees two-theta:
- 2θ = 20.03°, I = 100, (1 2 1)
- 2θ = 25.01°, I = 68, (1 4 1)
- 2θ = 25.82°, I = 26, (0 6 0)
- 2θ = 28.48°, I = 44, (0 0 2)
- 2θ = 31.70°, I = 24, (1 6 1)
- 2θ = 33.39°, I = 23, (0 4 2)
- 2θ = 34.53°, I = 39, (2 5 1)
- 2θ = 36.64°, I = 32, (2 0 2)
- 2θ = 39.36°, I = 21, (1 8 1)
- 2θ = 45.34°, I = 25, (2 6 2)

Structure:
Cell lengths 7.8662, 20.7058, 6.2758 Å; angles 90.00, 90.00, 90.00 degrees
Space group Ibam (No. 72)
Symmetry-distinct sites (fractional):
Cs (0.2030, 0.1531, 0.0000) (multiplicity 8)
K (0.0000, 0.5000, 0.2500) (multiplicity 4)
Si (0.0000, 0.0000, 0.2500) (multiplicity 4)
P (0.1648, 0.0520, 0.5000) (multiplicity 8)



# 6
The following is a calculated powder diffraction line list of Cs16KPb12. It was derived from a crystal structure in Alexandria, relaxed with GGA-PBE, using Cu Ka.
Kinematic intensities with the Lorentz-polarization factor, no thermal factor.

Largest 10 diffraction maxima, sorted by position, 5 to 70 degrees two-theta:
- 2θ = 8.74°, I = 37, (1 1 0)
- 2θ = 15.12°, I = 35, (1 1 1)
- 2θ = 15.24°, I = 35, (1 3 -1)
- 2θ = 24.93°, I = 80, (4 0 -2)
- 2θ = 26.36°, I = 58, (1 3 2)
- 2θ = 26.46°, I = 77, (1 3 -3)
- 2θ = 26.57°, I = 49, (1 5 -2)
- 2θ = 29.09°, I = 46, (3 1 1)
- 2θ = 29.29°, I = 49, (2 0 -4)
- 2θ = 29.45°, I = 100, (2 6 -1)

Structure:
Cell lengths 14.3177, 20.0467, 12.3865 Å; angles 90.00, 124.88, 90.00 degrees
Space group Cm (No. 8)
Symmetry-distinct sites (fractional):
Cs (0.0000, 0.0000, 0.0000) (multiplicity 2)
Cs (0.0073, 0.0000, 0.3150) (multiplicity 2)
Cs (0.0176, 0.2789, 0.6006) (multiplicity 4)
Cs (0.0836, 0.3751, 0.3196) (multiplicity 4)
Cs (0.2310, 0.2225, 0.0228) (multiplicity 4)
Cs (0.2947, 0.0000, 0.0502) (multiplicity 2)
Cs (0.3193, 0.0000, 0.6275) (multiplicity 2)
Cs (0.3486, 0.3473, 0.3118) (multiplicity 4)
Cs (0.3578, 0.3520, 0.7592) (multiplicity 4)
Cs (0.4148, 0.1472, 0.8703) (multiplicity 4)
K (0.0740, 0.5000, 0.6023) (multiplicity 2)
Pb (0.0421, 0.1847, 0.1625) (multiplicity 4)
Pb (0.0845, 0.0786, 0.6826) (multiplicity 4)
Pb (0.1320, 0.5000, 0.0950) (multiplicity 2)
Pb (0.1901, 0.1828, 0.4689) (multiplicity 4)
Pb (0.2126, 0.4217, 0.9414) (multiplicity 4)
Pb (0.2702, 0.0979, 0.3172) (multiplicity 4)
Pb (0.3521, 0.5000, 0.5322) (multiplicity 2)



# 7
The following is a calculated powder diffraction line list of CsK4Pb. It was derived from a crystal structure in Alexandria, relaxed with GGA-PBE, using Cu Ka.
Kinematic intensities with the Lorentz-polarization factor, no thermal factor.

Largest 10 diffraction maxima, sorted by position, 5 to 70 degrees two-theta:
- 2θ = 11.90°, I = 100, (2 0 0)
- 2θ = 17.74°, I = 24, (1 1 1)
- 2θ = 23.97°, I = 26, (4 0 0)
- 2θ = 24.54°, I = 28, (0 2 1)
- 2θ = 25.24°, I = 35, (1 2 1)
- 2θ = 26.45°, I = 21, (0 0 2)
- 2θ = 29.09°, I = 26, (2 0 2)
- 2θ = 30.53°, I = 17, (3 2 1)
- 2θ = 34.52°, I = 21, (4 2 1)
- 2θ = 36.00°, I = 18, (4 0 2)

Structure:
Cell lengths 14.8482, 8.6250, 6.7392 Å; angles 90.00, 90.00, 90.00 degrees
Space group Pmn2_1 (No. 31)
Symmetry-distinct sites (fractional):
Cs (0.0000, 0.0659, 0.0000) (multiplicity 2)
K (0.0000, 0.4955, 0.0000) (multiplicity 2)
K (0.0000, 0.7559, 0.4995) (multiplicity 2)
K (0.2309, 0.2908, 0.4987) (multiplicity 4)
Pb (0.0000, 0.3235, 0.5004) (multiplicity 2)